Diffraction record for HfMg14Cd. The X-ray diffraction stick pattern is calculated, not measured: it uses a crystal structure in the Materials Project, relaxed with PBE and Cu Kα, 1.54184 Å.

The 6 most intense peaks (2θ = 5–70°), sorted by position:
8.7°, rel. 100
15.9°, rel. 28
18.2°, rel. 41
35.4°, rel. 29
36.9°, rel. 41
37.1°, rel. 80

Cell and atoms:
```
data_HfMg14Cd
_chemical_formula_sum 'Hf2 Mg28 Cd2'
_space_group_name_H-M_alt 'A m m 2'
_space_group_IT_number 38
_cell_length_a 10.156
_cell_length_b 6.353
_cell_length_c 11.122
_cell_angle_alpha 90.00
_cell_angle_beta 90.00
_cell_angle_gamma 90.00
loop_
_space_group_symop_operation_xyz
'x,y,z'
'-x,-y,z'
'-x,y,z'
'x,-y,z'
'x,y+1/2,z+1/2'
'-x,-y+1/2,z+1/2'
'-x,y+1/2,z+1/2'
'x,-y+1/2,z+1/2'
loop_
_atom_site_label
_atom_site_type_symbol
_atom_site_fract_x
_atom_site_fract_y
_atom_site_fract_z
_atom_site_occupancy
Hf1 Hf 0.000 0.000 0.000 1
Mg1 Mg 0.000 0.247 0.250 1
Mg2 Mg 0.247 0.000 0.665 1
Mg3 Mg 0.248 0.247 0.916 1
Mg4 Mg 0.249 0.000 0.163 1
Mg5 Mg 0.500 0.000 0.498 1
Mg6 Mg 0.500 0.000 0.998 1
Mg7 Mg 0.500 0.250 0.248 1
Cd1 Cd 0.000 0.000 0.495 1
```